The following is a simulated powder X-ray diffraction pattern of Ti3H2O7. It was derived from a crystal structure in the Materials Project, relaxed with GGA-PBE, using λ = 1.5418 Å (Cu Kα).
Intensities are scaled so that the largest is 100.

Structure:
abc: 3.780 9.495 16.067
angles: 83.09 83.59 89.96
Space group P1 (No. 1)
Symmetry-distinct sites (fractional):
Ti (0.000, 0.000, 0.000) x1
Ti (0.007, 0.686, 0.974) x1
Ti (0.413, 0.355, 0.180) x1
Ti (0.426, 0.041, 0.153) x1
Ti (0.442, 0.729, 0.122) x1
Ti (0.986, 0.312, 0.033) x1
H (0.058, 0.746, 0.805) x1
H (0.213, 0.591, 0.817) x1
H (0.327, 0.286, 0.349) x1
H (0.330, 0.460, 0.344) x1
O (0.010, 0.649, 0.832) x1
O (0.021, 0.480, 0.974) x1
O (0.023, 0.181, 0.952) x1
O (0.039, 0.871, 0.920) x1
O (0.346, 0.377, 0.313) x1
O (0.387, 0.168, 0.233) x1
O (0.403, 0.859, 0.202) x1
O (0.413, 0.562, 0.182) x1
O (0.468, 0.284, 0.069) x1
O (0.483, 0.973, 0.035) x1
O (0.500, 0.676, 0.000) x1
O (0.926, 0.366, 0.154) x1
O (0.943, 0.068, 0.118) x1
O (0.959, 0.757, 0.085) x1

Principal peaks in the range 5° ≤ 2θ ≤ 70°, by intensity:
5.58 deg, I 100, (0 0 1)
11.17 deg, I 5, (0 0 2)
24.97 deg, I 1, (1 0 -1)
11.49 deg, I 1, (0 1 -1)
25.07 deg, I 1, (1 0 2)
29.64 deg, I 1, (0 3 -1)
27.40 deg, I 1, (1 0 -2)
48.51 deg, I 1, (2 0 0)
27.55 deg, I 1, (1 0 3)
28.41 deg, I 1, (0 3 0)

=====

The following is a simulated powder X-ray diffraction pattern of LiBi2P3O11. It was derived from a crystal structure in the Materials Project, relaxed with GGA-PBE, using λ = 1.5418 Å (Cu Kα).
Intensities are scaled so that the largest is 100.

Structure:
abc: 12.617 9.481 9.635
angles: 90.00 118.92 90.00
Space group C2 (No. 5)
Symmetry-distinct sites (fractional):
Li (0.248, 0.000, 0.231) x4
Bi (0.112, 0.502, 0.305) x4
Bi (0.112, 0.966, 0.803) x4
P (0.000, 0.683, 0.500) x2
P (0.000, 0.786, 0.000) x2
P (0.115, 0.172, 0.481) x4
P (0.116, 0.295, 0.985) x4
O (0.000, 0.225, 0.500) x2
O (0.000, 0.241, 0.000) x2
O (0.042, 0.771, 0.651) x4
O (0.043, 0.698, 0.151) x4
O (0.071, 0.085, 0.328) x4
O (0.075, 0.379, 0.832) x4
O (0.109, 0.886, 0.026) x4
O (0.110, 0.584, 0.530) x4
O (0.183, 0.304, 0.484) x4
O (0.186, 0.161, 0.996) x4
O (0.186, 0.391, 0.132) x4
O (0.188, 0.077, 0.629) x4

Principal peaks in the range 5° ≤ 2θ ≤ 70°, by intensity:
18.56 deg, I 100, (1 1 1)
23.16 deg, I 64, (3 1 -1)
28.33 deg, I 51, (0 2 2)
13.43 deg, I 38, (1 1 -1)
30.71 deg, I 35, (3 1 -3)
27.05 deg, I 34, (2 2 -2)
18.72 deg, I 34, (0 2 0)
35.55 deg, I 28, (3 3 -1)
37.69 deg, I 27, (4 2 0)
19.35 deg, I 26, (2 0 -2)

=====

The following is a simulated powder X-ray diffraction pattern of Cs3As11. It was derived from a crystal structure in the Materials Project, relaxed with GGA-PBE, using λ = 1.5418 Å (Cu Kα).
Intensities are scaled so that the largest is 100.

Structure:
abc: 13.559 15.735 19.912
angles: 90.00 95.08 90.00
Space group C2/c (No. 15)
Symmetry-distinct sites (fractional):
Cs (0.043, 0.246, 0.391) x8
Cs (0.112, 0.417, 0.629) x8
Cs (0.115, 0.140, 0.880) x8
As (0.082, 0.012, 0.181) x8
As (0.101, 0.048, 0.059) x8
As (0.133, 0.470, 0.446) x8
As (0.136, 0.388, 0.994) x8
As (0.137, 0.487, 0.321) x8
As (0.155, 0.131, 0.245) x8
As (0.176, 0.186, 0.603) x8
As (0.195, 0.077, 0.520) x8
As (0.196, 0.362, 0.814) x8
As (0.212, 0.098, 0.701) x8
As (0.230, 0.162, 0.070) x8

Principal peaks in the range 5° ≤ 2θ ≤ 70°, by intensity:
29.38 deg, I 100, (1 5 -1)
28.94 deg, I 86, (1 1 6)
12.83 deg, I 78, (1 1 2)
21.21 deg, I 51, (2 2 -3)
28.77 deg, I 50, (4 2 0)
26.21 deg, I 47, (2 4 0)
26.39 deg, I 45, (4 0 0)
28.19 deg, I 45, (3 3 2)
30.86 deg, I 43, (4 2 2)
49.39 deg, I 42, (4 4 -8)

=====

The following is a simulated powder X-ray diffraction pattern of ZnCu2SiSe4. It was derived from a crystal structure in the Materials Project, relaxed with GGA-PBE, using λ = 1.5418 Å (Cu Kα).
Intensities are scaled so that the largest is 100.

Structure:
abc: 5.619 5.619 11.110
angles: 90.00 90.00 90.00
Space group I-4 (No. 82)
Symmetry-distinct sites (fractional):
Zn (0.000, 0.000, 0.000) x2
Cu (0.000, 0.000, 0.500) x2
Cu (0.000, 0.500, 0.750) x2
Si (0.000, 0.500, 0.250) x2
Se (0.236, 0.254, 0.371) x8

Principal peaks in the range 5° ≤ 2θ ≤ 70°, by intensity:
27.60 deg, I 100, (1 1 2)
45.94 deg, I 47, (2 0 4)
54.19 deg, I 28, (3 1 2)
45.66 deg, I 24, (2 2 0)
54.69 deg, I 14, (1 1 6)
66.56 deg, I 7, (4 0 0)
67.44 deg, I 4, (0 0 8)
36.66 deg, I 2, (1 2 1)
28.87 deg, I 2, (1 0 3)
31.85 deg, I 1, (2 0 0)